No. 1
Structure and theoretical PXRD pattern of Hf3N4 (a structure optimized by DFT (GGA-PBE); Cu Ka).
Kinematic intensities with the Lorentz-polarization factor, no thermal factor.

```
Hf3N4
1.0
-3.358 3.358 3.358
3.358 -3.358 3.358
3.358 3.358 -3.358
Hf N
6 8
Cartesian
3.358 -1.679 2.518
2.518 3.358 -1.679
3.358 1.679 0.839
1.679 0.839 3.358
0.839 3.358 1.679
-1.679 2.518 3.358
2.128 1.230 -1.230
3.806 -0.449 0.449
1.230 -1.230 2.128
1.230 1.230 1.230
-1.230 2.128 1.230
0.449 3.806 -0.449
-0.449 0.449 3.806
2.909 2.909 2.909
```

The 6 most intense peaks (2θ = 10–90°), low angle first:
- 2θ 32.66, I = 100
- 2θ 42.57, I = 45
- 2θ 50.88, I = 26
- 2θ 61.78, I = 25
- 2θ 65.16, I = 16
- 2θ 71.66, I = 23

***

No. 2
Structure and theoretical PXRD pattern of LiTiSe2 (a structure optimized by DFT (GGA-PBE); Cu Ka).
Kinematic intensities with the Lorentz-polarization factor, no thermal factor.

```
LiTiSe2
1.0
3.661 0.000 0.000
-1.831 3.171 0.000
0.000 0.000 6.498
Li Ti Se
1 1 2
Cartesian
0.000 0.000 0.000
0.000 0.000 3.249
0.000 2.114 4.788
1.831 1.057 1.710
```

The 6 most intense peaks (2θ = 10–90°), low angle first:
- 2θ 13.63, I = 20
- 2θ 31.39, I = 100
- 2θ 39.72, I = 45
- 2θ 49.81, I = 29
- 2θ 51.07, I = 26
- 2θ 60.07, I = 15

***

No. 3
Structure and theoretical PXRD pattern of Na3ZrAlSiP2O12 (a structure optimized by DFT (GGA-PBE); Cu Ka).
Kinematic intensities with the Lorentz-polarization factor, no thermal factor.

```
Na3ZrAlSiP2O12
1.0
7.811 -4.451 0.000
7.811 4.451 0.000
-5.091 0.000 7.380
Na Zr Al Si P O
6 2 2 2 4 24
Cartesian
5.266 3.824 3.690
-0.076 0.929 7.239
7.695 1.962 1.584
2.470 -0.929 3.549
5.149 -1.962 5.274
7.811 -3.824 0.000
7.691 2.161 4.868
10.236 -2.161 1.178
2.544 2.135 5.786
5.090 -2.135 2.097
4.702 0.869 3.443
2.156 -0.869 7.133
0.095 1.060 3.564
-2.450 -1.060 7.253
10.380 0.388 3.576
7.834 -0.388 7.265
0.937 1.315 2.278
1.313 3.203 7.134
0.826 1.595 4.813
-2.592 0.512 7.282
4.045 1.438 2.047
-0.046 -0.512 3.592
3.928 2.823 7.112
3.712 1.325 4.664
-1.609 -1.315 5.968
2.232 0.762 7.032
6.187 1.589 3.518
3.372 -1.595 1.123
1.500 -1.438 5.737
4.777 -0.762 3.342
9.134 1.328 3.520
6.257 -1.325 0.974
7.697 0.503 6.011
3.641 -1.589 7.208
3.858 -3.203 3.444
10.243 -0.503 2.321
13.027 0.493 1.156
6.473 -2.823 3.422
6.589 -1.328 7.210
10.481 -0.493 4.845
```

The 6 most intense peaks (2θ = 10–90°), low angle first:
- 2θ 14.02, I = 54
- 2θ 19.65, I = 67
- 2θ 19.78, I = 65
- 2θ 31.15, I = 54
- 2θ 31.54, I = 100
- 2θ 34.80, I = 51

***

No. 4
Structure and theoretical PXRD pattern of HfMg6SiO8 (a structure optimized by DFT (GGA-PBE); Cu Ka).
Kinematic intensities with the Lorentz-polarization factor, no thermal factor.

```
HfMg6SiO8
1.0
4.212 0.000 0.000
0.000 4.212 0.000
0.000 0.000 10.367
Hf Mg Si O
1 6 1 8
Cartesian
0.000 0.000 0.000
0.000 2.106 2.950
0.000 2.106 7.417
2.106 0.000 2.950
2.106 0.000 7.417
2.106 2.106 0.000
2.106 2.106 5.184
0.000 0.000 5.184
0.000 0.000 2.061
0.000 0.000 8.306
0.000 2.106 0.000
0.000 2.106 5.184
2.106 0.000 0.000
2.106 0.000 5.184
2.106 2.106 2.935
2.106 2.106 7.432
```

The 6 most intense peaks (2θ = 10–90°), low angle first:
- 2θ 17.11, I = 54
- 2θ 22.79, I = 100
- 2θ 27.28, I = 59
- 2θ 34.61, I = 57
- 2θ 34.74, I = 65
- 2θ 42.95, I = 82

***

No. 5
Structure and theoretical PXRD pattern of NaSO4 (a structure optimized by DFT (GGA-PBE); Cu Ka).
Kinematic intensities with the Lorentz-polarization factor, no thermal factor.

```
NaSO4
1.0
6.864 0.000 0.000
0.211 7.039 0.000
0.887 1.462 6.847
Na S O
4 4 16
Cartesian
0.615 1.703 1.868
2.853 5.284 2.222
5.110 3.217 4.625
7.348 6.798 4.979
1.509 3.129 4.972
4.010 6.760 5.384
3.953 1.741 1.463
6.454 5.372 1.875
0.438 4.147 1.746
0.696 2.067 4.325
1.873 2.747 6.367
2.726 3.407 4.185
2.914 6.609 4.394
3.436 7.193 6.679
2.968 0.738 1.947
3.245 3.028 1.251
4.718 5.473 5.596
4.994 7.763 4.900
4.527 1.308 0.168
5.048 1.892 2.453
5.237 5.094 2.662
6.089 5.754 0.480
7.266 6.434 2.522
7.524 4.354 5.101
```

The 6 most intense peaks (2θ = 10–90°), low angle first:
- 2θ 23.15, I = 35
- 2θ 25.88, I = 70
- 2θ 26.03, I = 87
- 2θ 26.44, I = 35
- 2θ 29.27, I = 100
- 2θ 31.47, I = 33

***

No. 6
Structure and theoretical PXRD pattern of HoNi4Au (a structure optimized by DFT (GGA-PBE); Cu Ka).
Kinematic intensities with the Lorentz-polarization factor, no thermal factor.

```
HoNi4Au
1.0
0.000 3.482 3.482
3.482 0.000 3.482
3.482 3.482 0.000
Ho Ni Au
1 4 1
Cartesian
0.000 0.000 0.000
4.351 2.613 2.613
2.613 4.351 2.613
2.613 2.613 4.351
4.351 4.351 4.351
1.741 1.741 1.741
```

The 6 most intense peaks (2θ = 10–90°), low angle first:
- 2θ 22.11, I = 19
- 2θ 36.49, I = 70
- 2θ 43.08, I = 100
- 2θ 65.68, I = 25
- 2θ 70.23, I = 30
- 2θ 77.54, I = 22

***

No. 7
Structure and theoretical PXRD pattern of SmPbAu (a structure optimized by DFT (GGA-PBE); Cu Ka).
Kinematic intensities with the Lorentz-polarization factor, no thermal factor.

```
SmPbAu
1.0
4.890 0.000 0.000
-2.445 4.235 0.000
0.000 0.000 7.509
Sm Pb Au
2 2 2
Cartesian
0.000 0.000 0.000
0.000 0.000 3.755
0.000 2.823 1.877
2.445 1.412 5.632
0.000 2.823 5.632
2.445 1.412 1.877
```

The 6 most intense peaks (2θ = 10–90°), low angle first:
- 2θ 31.85, I = 100
- 2θ 36.76, I = 85
- 2θ 44.21, I = 22
- 2θ 49.42, I = 30
- 2θ 62.36, I = 37
- 2θ 63.15, I = 29

***

> Which formula does entry 6 have?

HoNi4Au